For BaAlC, a PBE-relaxed structure gives the computed powder X-ray diffraction pattern in this record (Cu Kα (λ = 1.5418 Å)).

Principal peaks in the range 2θ from 10° to 80°, low angle first:
| 2theta | intensity |
| --- | --- |
| 18.3 | 17 |
| 23.1 | 100 |
| 27.7 | 17 |
| 28.1 | 23 |
| 29.2 | 16 |
| 35.1 | 21 |
| 36.2 | 14 |
| 43.1 | 15 |
| 50.5 | 13 |
| 61.6 | 15 |

Atomic structure:
Cell lengths 6.1152, 9.6760, 5.7914 Å; angles 90.00, 90.00, 90.00 degrees
Sites, in units of the cell vectors:
Ba  0.0216  0.2055  0.0000
Ba  0.4784  0.2055  0.5000
Ba  0.5216  0.7945  0.0000
Ba  0.9784  0.7945  0.5000
Al  0.1215  0.4744  0.3811
Al  0.3785  0.4744  0.8811
Al  0.6215  0.5256  0.3811
Al  0.8785  0.5256  0.8811
C  0.1103  0.4258  0.7101
C  0.3897  0.4258  0.2101
C  0.6103  0.5742  0.7101
C  0.8897  0.5742  0.2101